# K2CeInCl6
Simulated XRD peak list, Cu Kα, 1.54184 Å. Input: a DFT-relaxed cell (GGA-PBE, Alexandria).

Structure:
Lattice parameters (Å, degrees): 7.620 8.119 13.248 90.00 123.70 90.00
Atoms (fractional coordinates):
K 0.213 0.075 0.243
K 0.213 0.425 0.743
K 0.787 0.575 0.257
K 0.787 0.925 0.757
Ce 0.500 0.000 0.000
Ce 0.500 0.500 0.500
In 0.000 0.000 0.500
In 0.000 0.500 0.000
Cl 0.146 0.179 0.938
Cl 0.146 0.321 0.438
Cl 0.250 0.719 0.919
Cl 0.250 0.781 0.419
Cl 0.408 0.064 0.770
Cl 0.408 0.436 0.270
Cl 0.592 0.564 0.730
Cl 0.592 0.936 0.230
Cl 0.750 0.219 0.581
Cl 0.750 0.281 0.081
Cl 0.854 0.679 0.562
Cl 0.854 0.821 0.062

Principal peaks in the range 2θ from 10° to 90°, by angle:
two_theta, d_spacing, I (rel.)
16.0, 5.555, 1000
16.1, 5.511, 401
21.9, 4.060, 309
22.5, 3.948, 770
22.9, 3.878, 730
32.2, 2.778, 544
35.2, 2.550, 292
39.5, 2.280, 322
40.3, 2.238, 367
41.0, 2.199, 302



# Ti4Si7Ni4
Simulated XRD peak list, Cu Kα, 1.54184 Å. Input: a DFT-relaxed cell (GGA-PBE, Alexandria).

Structure:
Lattice parameters (Å, degrees): 9.240 9.240 9.240 94.11 94.11 148.94
Atoms (fractional coordinates):
Ti 0.000 0.190 0.190
Ti 0.000 0.810 0.810
Ti 0.190 0.000 0.190
Ti 0.366 0.366 0.731
Ti 0.366 0.634 0.000
Ti 0.634 0.366 0.000
Ti 0.634 0.634 0.269
Ti 0.810 0.000 0.810
Si 0.000 0.407 0.407
Si 0.000 0.593 0.593
Si 0.204 0.204 0.409
Si 0.204 0.796 0.000
Si 0.212 0.500 0.712
Si 0.251 0.251 0.000
Si 0.407 0.000 0.407
Si 0.500 0.212 0.712
Si 0.500 0.788 0.288
Si 0.593 0.000 0.593
Si 0.749 0.749 0.000
Si 0.788 0.500 0.288
Si 0.796 0.204 0.000
Si 0.796 0.796 0.591
Ni 0.101 0.601 0.203
Ni 0.101 0.899 0.500
Ni 0.399 0.601 0.500
Ni 0.399 0.899 0.797
Ni 0.601 0.101 0.203
Ni 0.601 0.399 0.500
Ni 0.899 0.101 0.500
Ni 0.899 0.399 0.797

Principal peaks in the range 2θ from 10° to 90°, by angle:
two_theta, d_spacing, I (rel.)
22.3, 3.982, 166
28.4, 3.148, 171
40.2, 2.244, 723
40.5, 2.226, 258
43.1, 2.100, 1000
46.7, 1.945, 181
47.9, 1.900, 231
49.0, 1.858, 139
55.6, 1.654, 148
68.2, 1.375, 178